(1)
Computed powder diffractogram
Compound: HoAsSe
Radiation: λ = 1.5418 Å (Cu Kα)
Structure: DFT lattice parameters and positions (PBE)
Neutral-atom scattering factors, no anomalous dispersion.

Principal peaks in the range 2θ from 10° to 80°, sorted by position:
| two_theta | I (rel.) |
| --- | --- |
| 24.96 | 37 |
| 30.73 | 25 |
| 32.38 | 24 |
| 34.02 | 40 |
| 38.56 | 100 |
| 46.35 | 15 |
| 46.55 | 17 |
| 61.85 | 10 |
| 61.98 | 11 |
| 67.79 | 10 |

Structure:
```
HoAsSe
1.0
17.459 0.000 0.000
0.000 3.902 0.000
0.000 0.000 3.918
Ho As Se
4 4 4
Direct
0.139 0.250 0.231
0.361 0.750 0.731
0.639 0.250 0.269
0.861 0.750 0.769
0.002 0.250 0.716
0.498 0.750 0.216
0.502 0.250 0.784
0.998 0.750 0.284
0.188 0.750 0.732
0.312 0.250 0.232
0.688 0.750 0.768
0.812 0.250 0.268
```


(2)
Computed powder diffractogram
Compound: CaCO3
Radiation: λ = 1.5418 Å (Cu Kα)
Structure: DFT lattice parameters and positions (PBE)
Neutral-atom scattering factors, no anomalous dispersion.

Principal peaks in the range 2θ from 10° to 80°, sorted by position:
| two_theta | I (rel.) |
| --- | --- |
| 23.70 | 35 |
| 25.93 | 53 |
| 26.77 | 21 |
| 28.77 | 49 |
| 31.75 | 100 |
| 45.22 | 20 |
| 45.46 | 49 |
| 49.13 | 32 |
| 50.83 | 31 |
| 53.33 | 29 |

Structure:
```
CaCO3
1.0
6.661 0.000 0.000
0.000 8.532 0.000
0.000 0.000 4.543
Ca C O
4 4 12
Direct
0.000 0.000 0.000
0.000 0.500 0.000
0.500 0.000 0.500
0.500 0.500 0.500
0.136 0.250 0.473
0.364 0.750 0.973
0.636 0.250 0.027
0.864 0.750 0.527
0.047 0.250 0.219
0.180 0.117 0.597
0.180 0.383 0.597
0.320 0.617 0.097
0.320 0.883 0.097
0.453 0.750 0.719
0.547 0.250 0.281
0.680 0.117 0.903
0.680 0.383 0.903
0.820 0.617 0.403
0.820 0.883 0.403
0.953 0.750 0.781
```


(3)
Computed powder diffractogram
Compound: Si7RuN10
Radiation: λ = 1.5418 Å (Cu Kα)
Structure: DFT lattice parameters and positions (PBE)
Neutral-atom scattering factors, no anomalous dispersion.

Principal peaks in the range 2θ from 10° to 80°, sorted by position:
| two_theta | I (rel.) |
| --- | --- |
| 15.88 | 91 |
| 19.31 | 100 |
| 22.58 | 31 |
| 26.14 | 32 |
| 27.47 | 26 |
| 29.20 | 30 |
| 31.87 | 46 |
| 37.33 | 47 |
| 39.34 | 27 |
| 41.78 | 21 |

Structure:
```
Si7RuN10
1.0
6.715 0.000 0.000
0.000 6.930 0.000
-2.557 0.000 9.418
Si Ru N
14 2 20
Direct
0.000 0.018 0.000
0.000 0.982 0.500
0.121 0.360 0.668
0.121 0.640 0.168
0.313 0.380 0.993
0.313 0.620 0.493
0.579 0.398 0.758
0.579 0.602 0.258
0.759 0.382 0.062
0.759 0.618 0.562
0.813 0.020 0.700
0.813 0.980 0.200
0.951 0.370 0.366
0.951 0.630 0.866
0.461 0.102 0.889
0.461 0.898 0.389
0.015 0.133 0.647
0.015 0.867 0.147
0.167 0.415 0.505
0.167 0.585 0.005
0.205 0.158 0.994
0.205 0.842 0.494
0.345 0.375 0.811
0.345 0.625 0.311
0.543 0.435 0.120
0.543 0.565 0.620
0.623 0.161 0.729
0.623 0.839 0.229
0.755 0.496 0.905
0.755 0.504 0.405
0.769 0.129 0.041
0.769 0.871 0.541
0.910 0.124 0.348
0.910 0.876 0.848
0.964 0.458 0.202
0.964 0.542 0.702
```


(4)
Computed powder diffractogram
Compound: SmMg2
Radiation: λ = 1.5418 Å (Cu Kα)
Structure: DFT lattice parameters and positions (PBE)
Neutral-atom scattering factors, no anomalous dispersion.

Principal peaks in the range 2θ from 10° to 80°, sorted by position:
| two_theta | I (rel.) |
| --- | --- |
| 17.81 | 62 |
| 29.29 | 99 |
| 34.49 | 100 |
| 45.86 | 17 |
| 51.94 | 40 |
| 55.35 | 34 |
| 60.75 | 22 |
| 63.85 | 13 |
| 68.85 | 17 |
| 71.77 | 12 |

Structure:
```
SmMg2
1.0
0.000 4.312 4.312
4.312 0.000 4.312
4.312 4.312 0.000
Sm Mg
2 4
Direct
0.125 0.125 0.125
0.875 0.875 0.875
0.000 0.500 0.500
0.500 0.000 0.500
0.500 0.500 0.000
0.500 0.500 0.500
```


(5)
Computed powder diffractogram
Compound: Na6Zr2Si4O17
Radiation: λ = 1.5418 Å (Cu Kα)
Structure: DFT lattice parameters and positions (PBE)
Neutral-atom scattering factors, no anomalous dispersion.

Principal peaks in the range 2θ from 10° to 80°, sorted by position:
| two_theta | I (rel.) |
| --- | --- |
| 12.42 | 100 |
| 18.60 | 29 |
| 22.52 | 59 |
| 22.78 | 60 |
| 31.18 | 56 |
| 31.47 | 83 |
| 32.12 | 62 |
| 33.28 | 83 |
| 45.98 | 36 |
| 46.53 | 24 |

Structure:
```
Na6Zr2Si4O17
1.0
4.612 -2.787 0.000
4.612 2.787 0.000
-0.255 0.000 14.258
Na Zr Si O
6 2 4 17
Direct
0.007 0.007 0.245
0.317 0.317 0.624
0.326 0.326 0.119
0.674 0.674 0.881
0.683 0.683 0.376
0.993 0.993 0.755
0.000 0.000 0.000
0.000 0.000 0.500
0.341 0.341 0.377
0.344 0.344 0.882
0.656 0.656 0.118
0.659 0.659 0.623
0.182 0.691 0.385
0.207 0.207 0.453
0.211 0.687 0.896
0.217 0.217 0.962
0.267 0.267 0.777
0.268 0.268 0.272
0.309 0.818 0.615
0.313 0.789 0.104
0.500 0.500 0.500
0.687 0.211 0.896
0.691 0.182 0.385
0.732 0.732 0.728
0.733 0.733 0.223
0.783 0.783 0.038
0.789 0.313 0.104
0.793 0.793 0.547
0.818 0.309 0.615
```


(6)
Computed powder diffractogram
Compound: SnO2
Radiation: λ = 1.5418 Å (Cu Kα)
Structure: DFT lattice parameters and positions (PBE)
Neutral-atom scattering factors, no anomalous dispersion.

Principal peaks in the range 2θ from 10° to 80°, sorted by position:
| two_theta | I (rel.) |
| --- | --- |
| 16.43 | 100 |
| 31.99 | 36 |
| 33.21 | 9 |
| 36.17 | 63 |
| 46.78 | 41 |
| 57.01 | 14 |
| 59.76 | 20 |
| 61.27 | 19 |
| 69.41 | 10 |
| 76.75 | 10 |

Structure:
```
SnO2
1.0
3.231 0.000 0.000
-1.615 2.798 0.000
0.000 0.000 10.791
Sn O
2 4
Direct
0.000 0.000 0.000
0.000 0.000 0.500
0.333 0.667 0.094
0.333 0.667 0.406
0.667 0.333 0.594
0.667 0.333 0.906
```


(7)
Computed powder diffractogram
Compound: NaErS2O8
Radiation: λ = 1.5418 Å (Cu Kα)
Structure: DFT lattice parameters and positions (PBE)
Neutral-atom scattering factors, no anomalous dispersion.

Principal peaks in the range 2θ from 10° to 80°, sorted by position:
| two_theta | I (rel.) |
| --- | --- |
| 15.72 | 100 |
| 21.96 | 18 |
| 23.73 | 27 |
| 24.52 | 72 |
| 25.85 | 62 |
| 30.82 | 53 |
| 35.93 | 21 |
| 39.03 | 16 |
| 40.50 | 21 |
| 48.79 | 24 |

Structure:
```
NaErS2O8
1.0
4.745 0.000 0.000
0.000 6.894 0.000
-1.244 0.000 9.795
Na Er S O
2 2 4 16
Direct
0.122 0.250 0.359
0.878 0.750 0.641
0.151 0.250 0.824
0.849 0.750 0.176
0.332 0.750 0.399
0.353 0.750 0.929
0.647 0.250 0.071
0.668 0.250 0.601
0.174 0.579 0.331
0.174 0.921 0.331
0.237 0.576 0.854
0.237 0.924 0.854
0.274 0.750 0.073
0.331 0.250 0.055
0.335 0.750 0.547
0.370 0.250 0.635
0.630 0.750 0.365
0.665 0.250 0.453
0.669 0.750 0.945
0.726 0.250 0.927
0.763 0.076 0.146
0.763 0.424 0.146
0.826 0.079 0.669
0.826 0.421 0.669
```